For Ba2In2O5, DFT lattice parameters and positions (GGA-PBE) gives the calculated PXRD pattern in this record (Cu Kα, 1.54184 Å).
Peak positions follow from Bragg's law for the DFT cell and can differ from measured ones.

Structure:
```
data_Ba2In2O5
_chemical_formula_sum 'Ba2 In2 O5'
_cell_length_a 4.170
_cell_length_b 8.734
_cell_length_c 4.321
_cell_angle_alpha 90.00
_cell_angle_beta 90.00
_cell_angle_gamma 90.00
_symmetry_space_group_name_H-M 'P 1'
_symmetry_Int_Tables_number 1
loop_
_symmetry_equiv_pos_as_xyz
'x,y,z'
loop_
_atom_site_label
_atom_site_type_symbol
_atom_site_fract_x
_atom_site_fract_y
_atom_site_fract_z
_atom_site_occupancy
Ba1 Ba 0.000 0.218 0.000 1
Ba2 Ba 0.000 0.782 0.000 1
In1 In 0.500 0.000 0.511 1
In2 In 0.500 0.500 0.431 1
O1 O 0.000 0.000 0.493 1
O2 O 0.000 0.500 0.236 1
O3 O 0.500 0.000 0.011 1
O4 O 0.500 0.273 0.563 1
O5 O 0.500 0.727 0.563 1
```

The 8 most intense peaks (2θ = 5–70°), most intense first:
| 2theta | Rel. int. |
| --- | --- |
| 29.78 | 100 |
| 29.07 | 87 |
| 29.62 | 78 |
| 52.07 | 33 |
| 53.09 | 32 |
| 51.78 | 28 |
| 43.40 | 25 |
| 41.35 | 21 |

***

For YCo2B2C, DFT lattice parameters and positions (GGA-PBE) gives the calculated PXRD pattern in this record (Cu Kα, 1.54184 Å).
Peak positions follow from Bragg's law for the DFT cell and can differ from measured ones.

Structure:
```
data_YCo2B2C
_chemical_formula_sum 'Y1 Co2 B2 C1'
_cell_length_a 5.741
_cell_length_b 5.741
_cell_length_c 5.741
_cell_angle_alpha 144.10
_cell_angle_beta 144.10
_cell_angle_gamma 51.68
_symmetry_space_group_name_H-M 'P 1'
_symmetry_Int_Tables_number 1
loop_
_symmetry_equiv_pos_as_xyz
'x,y,z'
loop_
_atom_site_label
_atom_site_type_symbol
_atom_site_fract_x
_atom_site_fract_y
_atom_site_fract_z
_atom_site_occupancy
Y1 Y 0.000 0.000 0.000 1
Co1 Co 0.250 0.750 0.500 1
Co2 Co 0.750 0.250 0.500 1
B1 B 0.354 0.354 0.000 1
B2 B 0.646 0.646 0.000 1
C1 C 0.500 0.500 0.000 1
```

The 8 most intense peaks (2θ = 5–70°), most intense first:
| 2theta | Rel. int. |
| --- | --- |
| 40.03 | 100 |
| 34.72 | 34 |
| 26.62 | 29 |
| 51.66 | 27 |
| 36.40 | 24 |
| 65.83 | 23 |
| 63.75 | 21 |
| 64.83 | 8 |

***

For Pm4Sm2DyTm, DFT lattice parameters and positions (GGA-PBE) gives the calculated PXRD pattern in this record (Cu Kα, 1.54184 Å).
Peak positions follow from Bragg's law for the DFT cell and can differ from measured ones.

Structure:
```
data_Pm4Sm2DyTm
_chemical_formula_sum 'Pm8 Sm4 Dy2 Tm2'
_cell_length_a 9.552
_cell_length_b 9.552
_cell_length_c 6.871
_cell_angle_alpha 110.95
_cell_angle_beta 110.95
_cell_angle_gamma 88.17
_symmetry_space_group_name_H-M 'P 1'
_symmetry_Int_Tables_number 1
loop_
_symmetry_equiv_pos_as_xyz
'x,y,z'
loop_
_atom_site_label
_atom_site_type_symbol
_atom_site_fract_x
_atom_site_fract_y
_atom_site_fract_z
_atom_site_occupancy
Pm1 Pm 0.242 0.751 0.997 1
Pm2 Pm 0.246 0.249 0.469 1
Pm3 Pm 0.249 0.246 0.969 1
Pm4 Pm 0.249 0.758 0.503 1
Pm5 Pm 0.751 0.242 0.497 1
Pm6 Pm 0.751 0.754 0.031 1
Pm7 Pm 0.754 0.751 0.531 1
Pm8 Pm 0.758 0.249 0.003 1
Sm1 Sm 0.000 0.500 0.000 1
Sm2 Sm 0.500 0.000 0.500 1
Sm3 Sm 0.500 0.500 0.000 1
Sm4 Sm 0.500 0.500 0.500 1
Dy1 Dy 0.000 0.500 0.500 1
Dy2 Dy 0.500 0.000 0.000 1
Tm1 Tm 0.000 0.000 0.000 1
Tm2 Tm 0.000 0.000 0.500 1
```

The 8 most intense peaks (2θ = 5–70°), most intense first:
| 2theta | Rel. int. |
| --- | --- |
| 30.03 | 100 |
| 40.71 | 88 |
| 26.83 | 45 |
| 64.21 | 23 |
| 60.65 | 17 |
| 53.29 | 13 |
| 69.15 | 12 |
| 60.77 | 9 |

***

For K3PdCl5, DFT lattice parameters and positions (GGA-PBE) gives the calculated PXRD pattern in this record (Cu Kα, 1.54184 Å).
Peak positions follow from Bragg's law for the DFT cell and can differ from measured ones.

Structure:
```
data_K3PdCl5
_chemical_formula_sum 'K6 Pd2 Cl10'
_cell_length_a 8.440
_cell_length_b 8.440
_cell_length_c 7.487
_cell_angle_alpha 90.00
_cell_angle_beta 90.00
_cell_angle_gamma 90.00
_symmetry_space_group_name_H-M 'P 1'
_symmetry_Int_Tables_number 1
loop_
_symmetry_equiv_pos_as_xyz
'x,y,z'
loop_
_atom_site_label
_atom_site_type_symbol
_atom_site_fract_x
_atom_site_fract_y
_atom_site_fract_z
_atom_site_occupancy
K1 K 0.000 0.000 0.000 1
K2 K 0.164 0.336 0.500 1
K3 K 0.336 0.836 0.500 1
K4 K 0.500 0.500 0.000 1
K5 K 0.664 0.164 0.500 1
K6 K 0.836 0.664 0.500 1
Pd1 Pd 0.000 0.500 0.000 1
Pd2 Pd 0.500 0.000 0.000 1
Cl1 Cl 0.000 0.000 0.500 1
Cl2 Cl 0.139 0.639 0.217 1
Cl3 Cl 0.139 0.639 0.783 1
Cl4 Cl 0.361 0.139 0.217 1
Cl5 Cl 0.361 0.139 0.783 1
Cl6 Cl 0.500 0.500 0.500 1
Cl7 Cl 0.639 0.861 0.217 1
Cl8 Cl 0.639 0.861 0.783 1
Cl9 Cl 0.861 0.361 0.217 1
Cl10 Cl 0.861 0.361 0.783 1
```

The 8 most intense peaks (2θ = 5–70°), most intense first:
| 2theta | Rel. int. |
| --- | --- |
| 33.72 | 100 |
| 24.21 | 100 |
| 14.84 | 95 |
| 19.02 | 75 |
| 31.96 | 64 |
| 29.95 | 58 |
| 35.72 | 55 |
| 26.45 | 55 |

***

For TbSm8Dy4, DFT lattice parameters and positions (GGA-PBE) gives the calculated PXRD pattern in this record (Cu Kα, 1.54184 Å).
Peak positions follow from Bragg's law for the DFT cell and can differ from measured ones.

Structure:
```
data_TbSm8Dy4
_chemical_formula_sum 'Tb1 Sm8 Dy4'
_cell_length_a 7.829
_cell_length_b 7.829
_cell_length_c 7.829
_cell_angle_alpha 90.16
_cell_angle_beta 90.16
_cell_angle_gamma 90.16
_symmetry_space_group_name_H-M 'P 1'
_symmetry_Int_Tables_number 1
loop_
_symmetry_equiv_pos_as_xyz
'x,y,z'
loop_
_atom_site_label
_atom_site_type_symbol
_atom_site_fract_x
_atom_site_fract_y
_atom_site_fract_z
_atom_site_occupancy
Tb1 Tb 0.000 0.000 0.000 1
Sm1 Sm 0.259 0.740 0.740 1
Sm2 Sm 0.260 0.260 0.260 1
Sm3 Sm 0.260 0.260 0.741 1
Sm4 Sm 0.260 0.741 0.260 1
Sm5 Sm 0.740 0.259 0.740 1
Sm6 Sm 0.740 0.740 0.259 1
Sm7 Sm 0.740 0.740 0.740 1
Sm8 Sm 0.741 0.260 0.260 1
Dy1 Dy 0.000 0.000 0.500 1
Dy2 Dy 0.000 0.500 0.000 1
Dy3 Dy 0.500 0.000 0.000 1
Dy4 Dy 0.500 0.500 0.500 1
```

The 8 most intense peaks (2θ = 5–70°), most intense first:
| 2theta | Rel. int. |
| --- | --- |
| 32.34 | 100 |
| 57.63 | 28 |
| 46.39 | 18 |
| 19.64 | 14 |
| 57.84 | 9 |
| 38.10 | 6 |
| 67.59 | 6 |
| 67.81 | 6 |

***

For La5PmNd7, DFT lattice parameters and positions (GGA-PBE) gives the calculated PXRD pattern in this record (Cu Kα, 1.54184 Å).
Peak positions follow from Bragg's law for the DFT cell and can differ from measured ones.

Structure:
```
data_La5PmNd7
_chemical_formula_sum 'La5 Pm1 Nd7'
_cell_length_a 8.956
_cell_length_b 8.956
_cell_length_c 8.956
_cell_angle_alpha 134.11
_cell_angle_beta 103.12
_cell_angle_gamma 94.41
_symmetry_space_group_name_H-M 'P 1'
_symmetry_Int_Tables_number 1
loop_
_symmetry_equiv_pos_as_xyz
'x,y,z'
loop_
_atom_site_label
_atom_site_type_symbol
_atom_site_fract_x
_atom_site_fract_y
_atom_site_fract_z
_atom_site_occupancy
La1 La 0.000 0.000 0.000 1
La2 La 0.269 0.327 0.497 1
La3 La 0.269 0.772 0.943 1
La4 La 0.830 0.327 0.057 1
La5 La 0.830 0.772 0.503 1
Pm1 Pm 0.247 0.747 0.500 1
Nd1 Nd 0.115 0.285 0.830 1
Nd2 Nd 0.454 0.285 0.170 1
Nd3 Nd 0.522 0.522 0.000 1
Nd4 Nd 0.543 0.043 0.500 1
Nd5 Nd 0.606 0.785 0.821 1
Nd6 Nd 0.837 0.337 0.500 1
Nd7 Nd 0.964 0.785 0.179 1
```

The 8 most intense peaks (2θ = 5–70°), most intense first:
| 2theta | Rel. int. |
| --- | --- |
| 30.99 | 100 |
| 33.69 | 77 |
| 29.36 | 73 |
| 30.18 | 59 |
| 29.49 | 51 |
| 27.21 | 33 |
| 56.12 | 28 |
| 25.51 | 26 |

***

For Tb6Dy2Er5, DFT lattice parameters and positions (GGA-PBE) gives the calculated PXRD pattern in this record (Cu Kα, 1.54184 Å).
Peak positions follow from Bragg's law for the DFT cell and can differ from measured ones.

Structure:
```
data_Tb6Dy2Er5
_chemical_formula_sum 'Tb12 Dy4 Er10'
_cell_length_a 11.558
_cell_length_b 20.059
_cell_length_c 3.560
_cell_angle_alpha 90.00
_cell_angle_beta 90.00
_cell_angle_gamma 90.00
_symmetry_space_group_name_H-M 'P 1'
_symmetry_Int_Tables_number 1
loop_
_symmetry_equiv_pos_as_xyz
'x,y,z'
loop_
_atom_site_label
_atom_site_type_symbol
_atom_site_fract_x
_atom_site_fract_y
_atom_site_fract_z
_atom_site_occupancy
Tb1 Tb 0.059 0.080 0.000 1
Tb2 Tb 0.083 0.368 0.000 1
Tb3 Tb 0.173 0.633 0.500 1
Tb4 Tb 0.327 0.133 0.500 1
Tb5 Tb 0.417 0.868 0.000 1
Tb6 Tb 0.441 0.580 0.000 1
Tb7 Tb 0.559 0.420 0.000 1
Tb8 Tb 0.583 0.132 0.000 1
Tb9 Tb 0.673 0.867 0.500 1
Tb10 Tb 0.827 0.367 0.500 1
Tb11 Tb 0.917 0.632 0.000 1
Tb12 Tb 0.941 0.920 0.000 1
Dy1 Dy 0.166 0.789 0.000 1
Dy2 Dy 0.334 0.289 0.000 1
Dy3 Dy 0.666 0.711 0.000 1
Dy4 Dy 0.834 0.211 0.000 1
Er1 Er 0.000 0.500 0.500 1
Er2 Er 0.092 0.226 0.500 1
Er3 Er 0.198 0.948 0.500 1
Er4 Er 0.302 0.448 0.500 1
Er5 Er 0.408 0.726 0.500 1
Er6 Er 0.500 0.000 0.500 1
Er7 Er 0.592 0.274 0.500 1
Er8 Er 0.698 0.552 0.500 1
Er9 Er 0.802 0.052 0.500 1
Er10 Er 0.908 0.774 0.500 1
```

The 8 most intense peaks (2θ = 5–70°), most intense first:
| 2theta | Rel. int. |
| --- | --- |
| 32.43 | 100 |
| 32.20 | 98 |
| 31.28 | 56 |
| 31.78 | 52 |
| 34.58 | 36 |
| 36.91 | 32 |
| 61.90 | 31 |
| 57.38 | 29 |

***

For Pr3PuPt8, DFT lattice parameters and positions (GGA-PBE) gives the calculated PXRD pattern in this record (Cu Kα, 1.54184 Å).
Peak positions follow from Bragg's law for the DFT cell and can differ from measured ones.

Structure:
```
data_Pr3PuPt8
_chemical_formula_sum 'Pr3 Pu1 Pt8'
_cell_length_a 9.562
_cell_length_b 9.562
_cell_length_c 9.562
_cell_angle_alpha 33.54
_cell_angle_beta 33.54
_cell_angle_gamma 33.54
_symmetry_space_group_name_H-M 'P 1'
_symmetry_Int_Tables_number 1
loop_
_symmetry_equiv_pos_as_xyz
'x,y,z'
loop_
_atom_site_label
_atom_site_type_symbol
_atom_site_fract_x
_atom_site_fract_y
_atom_site_fract_z
_atom_site_occupancy
Pr1 Pr 0.000 0.000 0.000 1
Pr2 Pr 0.126 0.126 0.126 1
Pr3 Pr 0.622 0.622 0.622 1
Pu1 Pu 0.498 0.498 0.498 1
Pt1 Pt 0.061 0.061 0.562 1
Pt2 Pt 0.061 0.562 0.061 1
Pt3 Pt 0.062 0.561 0.561 1
Pt4 Pt 0.312 0.312 0.312 1
Pt5 Pt 0.561 0.062 0.561 1
Pt6 Pt 0.561 0.561 0.062 1
Pt7 Pt 0.562 0.061 0.061 1
Pt8 Pt 0.812 0.812 0.812 1
```

The 8 most intense peaks (2θ = 5–70°), most intense first:
| 2theta | Rel. int. |
| --- | --- |
| 38.24 | 100 |
| 40.02 | 46 |
| 61.76 | 33 |
| 67.94 | 30 |
| 32.44 | 22 |
| 19.70 | 11 |
| 57.88 | 9 |
| 46.54 | 7 |

***

For Te5P3, DFT lattice parameters and positions (GGA-PBE) gives the calculated PXRD pattern in this record (Cu Kα, 1.54184 Å).
Peak positions follow from Bragg's law for the DFT cell and can differ from measured ones.

Structure:
```
data_Te5P3
_chemical_formula_sum 'Te10 P6'
_cell_length_a 9.168
_cell_length_b 6.864
_cell_length_c 9.627
_cell_angle_alpha 90.00
_cell_angle_beta 109.91
_cell_angle_gamma 90.00
_symmetry_space_group_name_H-M 'P 1'
_symmetry_Int_Tables_number 1
loop_
_symmetry_equiv_pos_as_xyz
'x,y,z'
loop_
_atom_site_label
_atom_site_type_symbol
_atom_site_fract_x
_atom_site_fract_y
_atom_site_fract_z
_atom_site_occupancy
Te1 Te 0.000 0.000 0.000 1
Te2 Te 0.039 0.500 0.024 1
Te3 Te 0.088 0.000 0.375 1
Te4 Te 0.290 0.246 0.817 1
Te5 Te 0.290 0.754 0.817 1
Te6 Te 0.534 0.242 0.498 1
Te7 Te 0.534 0.758 0.498 1
Te8 Te 0.588 0.500 0.128 1
Te9 Te 0.635 0.000 0.131 1
Te10 Te 0.686 0.500 0.829 1
P1 P 0.075 0.500 0.780 1
P2 P 0.108 0.000 0.643 1
P3 P 0.345 0.000 0.328 1
P4 P 0.393 0.500 0.651 1
P5 P 0.429 0.500 0.299 1
P6 P 0.713 0.000 0.910 1
```

The 8 most intense peaks (2θ = 5–70°), most intense first:
| 2theta | Rel. int. |
| --- | --- |
| 27.80 | 100 |
| 16.46 | 72 |
| 23.15 | 68 |
| 32.24 | 55 |
| 30.89 | 50 |
| 20.61 | 42 |
| 9.77 | 41 |
| 32.72 | 40 |

***

For Sr3Ca7Ac, DFT lattice parameters and positions (GGA-PBE) gives the calculated PXRD pattern in this record (Cu Kα, 1.54184 Å).
Peak positions follow from Bragg's law for the DFT cell and can differ from measured ones.

Structure:
```
data_Sr3Ca7Ac
_chemical_formula_sum 'Sr3 Ca7 Ac1'
_cell_length_a 9.260
_cell_length_b 9.260
_cell_length_c 6.875
_cell_angle_alpha 106.55
_cell_angle_beta 106.55
_cell_angle_gamma 90.13
_symmetry_space_group_name_H-M 'P 1'
_symmetry_Int_Tables_number 1
loop_
_symmetry_equiv_pos_as_xyz
'x,y,z'
loop_
_atom_site_label
_atom_site_type_symbol
_atom_site_fract_x
_atom_site_fract_y
_atom_site_fract_z
_atom_site_occupancy
Sr1 Sr 0.000 0.000 0.000 1
Sr2 Sr 0.223 0.777 0.500 1
Sr3 Sr 0.777 0.223 0.500 1
Ca1 Ca 0.069 0.585 0.826 1
Ca2 Ca 0.213 0.213 0.585 1
Ca3 Ca 0.415 0.931 0.174 1
Ca4 Ca 0.500 0.500 0.500 1
Ca5 Ca 0.585 0.069 0.826 1
Ca6 Ca 0.787 0.787 0.415 1
Ca7 Ca 0.931 0.415 0.174 1
Ac1 Ac 0.500 0.500 0.000 1
```

The 8 most intense peaks (2θ = 5–70°), most intense first:
| 2theta | Rel. int. |
| --- | --- |
| 27.91 | 100 |
| 20.84 | 67 |
| 27.21 | 63 |
| 26.16 | 61 |
| 30.63 | 58 |
| 14.80 | 57 |
| 19.56 | 41 |
| 38.10 | 39 |

***

For Rb2CeDy3O8, DFT lattice parameters and positions (GGA-PBE) gives the calculated PXRD pattern in this record (Cu Kα, 1.54184 Å).
Peak positions follow from Bragg's law for the DFT cell and can differ from measured ones.

Structure:
```
data_Rb2CeDy3O8
_chemical_formula_sum 'Rb2 Ce1 Dy3 O8'
_cell_length_a 7.967
_cell_length_b 7.967
_cell_length_c 7.967
_cell_angle_alpha 52.14
_cell_angle_beta 52.14
_cell_angle_gamma 52.14
_symmetry_space_group_name_H-M 'P 1'
_symmetry_Int_Tables_number 1
loop_
_symmetry_equiv_pos_as_xyz
'x,y,z'
loop_
_atom_site_label
_atom_site_type_symbol
_atom_site_fract_x
_atom_site_fract_y
_atom_site_fract_z
_atom_site_occupancy
Rb1 Rb 0.000 0.000 0.000 1
Rb2 Rb 0.349 0.349 0.349 1
Ce1 Ce 0.519 0.519 0.519 1
Dy1 Dy 0.000 0.000 0.504 1
Dy2 Dy 0.000 0.504 0.000 1
Dy3 Dy 0.504 0.000 0.000 1
O1 O 0.215 0.732 0.732 1
O2 O 0.218 0.218 0.218 1
O3 O 0.296 0.296 0.773 1
O4 O 0.296 0.773 0.296 1
O5 O 0.732 0.215 0.732 1
O6 O 0.732 0.732 0.215 1
O7 O 0.773 0.296 0.296 1
O8 O 0.784 0.784 0.784 1
```

The 8 most intense peaks (2θ = 5–70°), most intense first:
| 2theta | Rel. int. |
| --- | --- |
| 12.90 | 100 |
| 34.32 | 55 |
| 29.79 | 47 |
| 30.74 | 42 |
| 25.96 | 36 |
| 42.83 | 28 |
| 52.26 | 26 |
| 59.26 | 22 |

***

For AcB6, DFT lattice parameters and positions (GGA-PBE) gives the calculated PXRD pattern in this record (Cu Kα, 1.54184 Å).
Peak positions follow from Bragg's law for the DFT cell and can differ from measured ones.

Structure:
```
data_AcB6
_chemical_formula_sum 'Ac1 B6'
_cell_length_a 4.204
_cell_length_b 4.204
_cell_length_c 4.204
_cell_angle_alpha 90.00
_cell_angle_beta 90.00
_cell_angle_gamma 90.00
_symmetry_space_group_name_H-M 'P 1'
_symmetry_Int_Tables_number 1
loop_
_symmetry_equiv_pos_as_xyz
'x,y,z'
loop_
_atom_site_label
_atom_site_type_symbol
_atom_site_fract_x
_atom_site_fract_y
_atom_site_fract_z
_atom_site_occupancy
Ac1 Ac 0.000 0.000 0.000 1
B1 B 0.201 0.500 0.500 1
B2 B 0.500 0.201 0.500 1
B3 B 0.500 0.500 0.201 1
B4 B 0.500 0.500 0.799 1
B5 B 0.500 0.799 0.500 1
B6 B 0.799 0.500 0.500 1
```

The 8 most intense peaks (2θ = 5–70°), most intense first:
| 2theta | Rel. int. |
| --- | --- |
| 30.06 | 100 |
| 21.13 | 79 |
| 48.41 | 53 |
| 37.03 | 41 |
| 53.38 | 33 |
| 66.75 | 29 |
| 43.03 | 21 |
| 62.48 | 11 |

***

For Ho2Ga8Tc, DFT lattice parameters and positions (GGA-PBE) gives the calculated PXRD pattern in this record (Cu Kα, 1.54184 Å).
Peak positions follow from Bragg's law for the DFT cell and can differ from measured ones.

Structure:
```
data_Ho2Ga8Tc
_chemical_formula_sum 'Ho2 Ga8 Tc1'
_cell_length_a 4.264
_cell_length_b 4.264
_cell_length_c 11.380
_cell_angle_alpha 90.00
_cell_angle_beta 90.00
_cell_angle_gamma 90.00
_symmetry_space_group_name_H-M 'P 1'
_symmetry_Int_Tables_number 1
loop_
_symmetry_equiv_pos_as_xyz
'x,y,z'
loop_
_atom_site_label
_atom_site_type_symbol
_atom_site_fract_x
_atom_site_fract_y
_atom_site_fract_z
_atom_site_occupancy
Ho1 Ho 0.000 0.000 0.189 1
Ho2 Ho 0.000 0.000 0.811 1
Ga1 Ga 0.000 0.500 0.000 1
Ga2 Ga 0.000 0.500 0.376 1
Ga3 Ga 0.000 0.500 0.624 1
Ga4 Ga 0.500 0.000 0.000 1
Ga5 Ga 0.500 0.000 0.376 1
Ga6 Ga 0.500 0.000 0.624 1
Ga7 Ga 0.500 0.500 0.190 1
Ga8 Ga 0.500 0.500 0.810 1
Tc1 Tc 0.000 0.000 0.500 1
```

The 8 most intense peaks (2θ = 5–70°), most intense first:
| 2theta | Rel. int. |
| --- | --- |
| 38.13 | 100 |
| 42.39 | 49 |
| 33.64 | 28 |
| 20.83 | 24 |
| 59.40 | 17 |
| 61.51 | 16 |
| 31.57 | 15 |
| 39.60 | 15 |